Structure and simulated X-ray powder pattern of PuThPa2Ir4 (a DFT-relaxed cell (GGA-PBE, Alexandria); λ = 1.5418 Å (Cu Kα)).
Neutral-atom scattering factors, no anomalous dispersion.

Largest 8 diffraction maxima, by angle, 10 to 90 degrees two-theta:
2θ = 31.43°, rel. 100.0, hkl 2 0 0; 2θ = 45.04°, rel. 75.6, hkl 2 2 0; 2θ = 55.95°, rel. 26.9, hkl 2 2 4; 2θ = 65.55°, rel. 8.4, hkl 4 0 0; 2θ = 74.51°, rel. 23.4, hkl 4 2 0; 2θ = 74.63°, rel. 11.5, hkl 2 0 8; 2θ = 83.09°, rel. 17.9, hkl 4 2 4; 2θ = 83.19°, rel. 8.8, hkl 2 2 8

Structural model:
Cell: 5.697 5.697 11.370 Å, 90.00 90.00 90.00°
Sites, in units of the cell vectors:
Pu 0.000 0.000 0.000
Pu 0.500 0.500 0.500
Th 0.000 0.000 0.500
Th 0.500 0.500 0.000
Pa 0.000 0.500 0.250
Pa 0.000 0.500 0.750
Pa 0.500 0.000 0.250
Pa 0.500 0.000 0.750
Ir 0.000 0.000 0.245
Ir 0.000 0.000 0.755
Ir 0.000 0.500 0.000
Ir 0.000 0.500 0.500
Ir 0.500 0.000 0.000
Ir 0.500 0.000 0.500
Ir 0.500 0.500 0.255
Ir 0.500 0.500 0.745

=====

Structure and simulated X-ray powder pattern of Pa2Ir3Rh3 (a DFT-relaxed cell (GGA-PBE, Alexandria); λ = 1.5418 Å (Cu Kα)).
Neutral-atom scattering factors, no anomalous dispersion.

Largest 8 diffraction maxima, by angle, 10 to 90 degrees two-theta:
2θ = 21.82°, rel. 7.1, hkl 0 1 0; 2θ = 31.05°, rel. 6.2, hkl 1 0 2; 2θ = 38.27°, rel. 100.0, hkl 1 1 2; 2θ = 44.49°, rel. 49.3, hkl 2 0 0; 2θ = 50.07°, rel. 3.6, hkl 2 1 0; 2θ = 64.73°, rel. 32.6, hkl 2 2 0; 2θ = 77.76°, rel. 38.8, hkl 3 1 2; 2θ = 81.94°, rel. 11.4, hkl 2 2 4

Structural model:
Cell: 4.072 4.073 8.149 Å, 90.00 90.00 90.00°
Sites, in units of the cell vectors:
Pa 0.000 0.000 0.249
Pa 0.000 0.000 0.751
Ir 0.000 0.500 0.500
Ir 0.500 0.000 0.000
Ir 0.500 0.000 0.500
Rh 0.000 0.500 0.000
Rh 0.500 0.500 0.251
Rh 0.500 0.500 0.749